No. 1
Structure and calculated powder XRD pattern of ThFe4C4 (a structure optimized by DFT (PBE); λ = 1.5418 Å (Cu Kα)).
Kinematic intensities with the Lorentz-polarization factor, no thermal factor.

Structural model:
Cell lengths 7.1414, 7.1414, 3.5856 Å; angles 90.00, 90.00, 90.00 degrees
Sites, in units of the cell vectors:
Th: 0.2500 0.2500 0.2500
Th: 0.7500 0.7500 0.7500
Fe: 0.0931 0.8449 0.1226
Fe: 0.1551 0.5931 0.6226
Fe: 0.3449 0.9069 0.6226
Fe: 0.4069 0.6551 0.1226
Fe: 0.5931 0.3449 0.8774
Fe: 0.6551 0.0931 0.3774
Fe: 0.8449 0.4069 0.3774
Fe: 0.9069 0.1551 0.8774
C: 0.0348 0.5778 0.1275
C: 0.0778 0.9652 0.6275
C: 0.4222 0.5348 0.6275
C: 0.4652 0.9222 0.1275
C: 0.5348 0.0778 0.8725
C: 0.5778 0.4652 0.3725
C: 0.9222 0.0348 0.3725
C: 0.9652 0.4222 0.8725

Principal peaks in the range 15 to 90 degrees two-theta, sorted by position:
d [Å]  I_rel
5.050  217
3.571  302
3.204  517
2.526  195
2.385  1000
2.258  646
1.734  198
1.597  130
1.560  187
1.327  256

---

No. 2
Structure and calculated powder XRD pattern of YTiFe11C (a structure optimized by DFT (PBE); λ = 1.5418 Å (Cu Kα)).
Kinematic intensities with the Lorentz-polarization factor, no thermal factor.

Structural model:
Cell lengths 6.4969, 6.4969, 6.4969 Å; angles 136.13, 97.68, 98.36 degrees
Sites, in units of the cell vectors:
Y: 0.0000 0.0000 0.0000
Ti: 0.3739 0.3739 0.0000
Fe: 0.0051 0.0061 0.4981
Fe: 0.0051 0.5070 0.9991
Fe: 0.2295 0.5094 0.7200
Fe: 0.2300 0.7300 0.5000
Fe: 0.3659 0.0073 0.3586
Fe: 0.5080 0.0061 0.0009
Fe: 0.5080 0.5070 0.5019
Fe: 0.6488 0.0073 0.6414
Fe: 0.6503 0.6503 0.0000
Fe: 0.7824 0.2824 0.5000
Fe: 0.7894 0.5094 0.2800
C: 0.0057 0.5057 0.5000

Principal peaks in the range 15 to 90 degrees two-theta, sorted by position:
d [Å]  I_rel
2.998  109
2.458  148
2.446  135
2.427  135
2.138  250
2.125  1000
2.109  624
1.908  193
1.890  366
1.335  146

---

No. 3
Structure and calculated powder XRD pattern of Tm2Fe2C3 (a structure optimized by DFT (PBE); λ = 1.5418 Å (Cu Kα)).
Kinematic intensities with the Lorentz-polarization factor, no thermal factor.

Structural model:
Cell lengths 10.7919, 3.3124, 5.4706 Å; angles 90.00, 116.45, 90.00 degrees
Sites, in units of the cell vectors:
Tm: 0.1038 0.0000 0.3259
Tm: 0.3962 0.5000 0.6741
Tm: 0.6038 0.5000 0.3259
Tm: 0.8962 0.0000 0.6741
Fe: 0.1666 0.5000 0.8235
Fe: 0.3334 0.0000 0.1765
Fe: 0.6666 0.0000 0.8235
Fe: 0.8334 0.5000 0.1765
C: 0.0000 0.5000 0.5000
C: 0.2423 0.5000 0.2110
C: 0.2577 0.0000 0.7890
C: 0.5000 0.0000 0.5000
C: 0.7423 0.0000 0.2110
C: 0.7577 0.5000 0.7890

Principal peaks in the range 15 to 90 degrees two-theta, sorted by position:
d [Å]  I_rel
3.133  441
2.861  364
2.729  443
2.694  454
2.482  956
2.416  292
2.406  1000
2.036  226
1.873  251
1.669  306

---

No. 4
Structure and calculated powder XRD pattern of U2Fe3C2 (a structure optimized by DFT (PBE); λ = 1.5418 Å (Cu Kα)).
Kinematic intensities with the Lorentz-polarization factor, no thermal factor.

Structural model:
Cell lengths 9.3989, 3.1407, 6.4460 Å; angles 90.00, 118.85, 90.00 degrees
Sites, in units of the cell vectors:
U: 0.1552 0.0000 0.3129
U: 0.3448 0.5000 0.6871
U: 0.6552 0.5000 0.3129
U: 0.8448 0.0000 0.6871
Fe: 0.0000 0.5000 0.5000
Fe: 0.1287 0.5000 0.9391
Fe: 0.3713 0.0000 0.0609
Fe: 0.5000 0.0000 0.5000
Fe: 0.6287 0.0000 0.9391
Fe: 0.8713 0.5000 0.0609
C: 0.1441 0.0000 0.7300
C: 0.3559 0.5000 0.2700
C: 0.6441 0.5000 0.7300
C: 0.8559 0.0000 0.2700

Principal peaks in the range 15 to 90 degrees two-theta, sorted by position:
d [Å]  I_rel
4.524  1000
2.809  375
2.753  308
2.438  975
2.262  350
2.236  874
2.218  583
2.148  321
2.065  762
1.933  329

---

No. 5
Structure and calculated powder XRD pattern of V4FeC (a structure optimized by DFT (PBE); λ = 1.5418 Å (Cu Kα)).
Kinematic intensities with the Lorentz-polarization factor, no thermal factor.

Structural model:
Cell lengths 5.2180, 4.8816, 5.8890 Å; angles 90.00, 102.99, 90.00 degrees
Sites, in units of the cell vectors:
V: 0.1021 0.1554 0.2012
V: 0.1021 0.3446 0.7012
V: 0.3603 0.6118 0.1259
V: 0.3603 0.8882 0.6259
V: 0.6397 0.1118 0.3741
V: 0.6397 0.3882 0.8741
V: 0.8979 0.6554 0.2988
V: 0.8979 0.8446 0.7988
Fe: 0.5000 0.0000 0.0000
Fe: 0.5000 0.5000 0.5000
C: 0.0000 0.0000 0.5000
C: 0.0000 0.5000 0.0000

Principal peaks in the range 15 to 90 degrees two-theta, sorted by position:
d [Å]  I_rel
2.416  363
2.288  544
2.256  1000
2.246  508
2.200  152
1.991  126
1.974  110
1.803  389
1.407  116
1.379  128

---

No. 6
Structure and calculated powder XRD pattern of Fe2W3C (a structure optimized by DFT (PBE); λ = 1.5418 Å (Cu Kα)).
Kinematic intensities with the Lorentz-polarization factor, no thermal factor.

Structural model:
Cell lengths 6.7570, 6.7570, 6.7570 Å; angles 90.00, 90.00, 90.00 degrees
Sites, in units of the cell vectors:
Fe: 0.0701 0.0701 0.0701
Fe: 0.1799 0.8201 0.3201
Fe: 0.3201 0.1799 0.8201
Fe: 0.4299 0.9299 0.5701
Fe: 0.5701 0.4299 0.9299
Fe: 0.6799 0.6799 0.6799
Fe: 0.8201 0.3201 0.1799
Fe: 0.9299 0.5701 0.4299
W: 0.0476 0.8750 0.7024
W: 0.1250 0.2024 0.4524
W: 0.2024 0.4524 0.1250
W: 0.2976 0.5476 0.6250
W: 0.3750 0.7976 0.9524
W: 0.4524 0.1250 0.2024
W: 0.5476 0.6250 0.2976
W: 0.6250 0.2976 0.5476
W: 0.7024 0.0476 0.8750
W: 0.7976 0.9524 0.3750
W: 0.8750 0.7024 0.0476
W: 0.9524 0.3750 0.7976
C: 0.1250 0.6250 0.8750
C: 0.3750 0.3750 0.3750
C: 0.6250 0.8750 0.1250
C: 0.8750 0.1250 0.6250

Principal peaks in the range 15 to 90 degrees two-theta, sorted by position:
d [Å]  I_rel
3.901  127
3.022  196
2.252  1000
2.137  604
2.037  228
1.593  120
1.325  216
1.255  199
1.142  109
1.096  117

---

No. 7
Structure and calculated powder XRD pattern of Fe2W2C (a structure optimized by DFT (PBE); λ = 1.5418 Å (Cu Kα)).
Kinematic intensities with the Lorentz-polarization factor, no thermal factor.

Structural model:
Cell lengths 7.8880, 7.8880, 7.8880 Å; angles 60.00, 60.00, 60.00 degrees
Sites, in units of the cell vectors:
Fe: 0.0000 0.0000 0.0000
Fe: 0.0000 0.0000 0.5000
Fe: 0.0000 0.5000 0.0000
Fe: 0.1036 0.7988 0.7988
Fe: 0.2012 0.2012 0.2012
Fe: 0.2012 0.2012 0.8964
Fe: 0.2012 0.8964 0.2012
Fe: 0.5000 0.0000 0.0000
Fe: 0.7988 0.1036 0.7988
Fe: 0.7988 0.7988 0.1036
Fe: 0.7988 0.7988 0.7988
Fe: 0.8964 0.2012 0.2012
W: 0.1759 0.1759 0.5741
W: 0.1759 0.5741 0.1759
W: 0.1759 0.5741 0.5741
W: 0.4259 0.4259 0.8241
W: 0.4259 0.8241 0.4259
W: 0.4259 0.8241 0.8241
W: 0.5741 0.1759 0.1759
W: 0.5741 0.1759 0.5741
W: 0.5741 0.5741 0.1759
W: 0.8241 0.4259 0.4259
W: 0.8241 0.4259 0.8241
W: 0.8241 0.8241 0.4259
C: 0.0000 0.5000 0.5000
C: 0.3750 0.3750 0.3750
C: 0.5000 0.0000 0.5000
C: 0.5000 0.5000 0.0000
C: 0.5000 0.5000 0.5000
C: 0.6250 0.6250 0.6250

Principal peaks in the range 15 to 90 degrees two-theta, sorted by position:
d [Å]  I_rel
2.789  374
2.559  293
2.277  545
2.147  1000
1.972  401
1.562  184
1.452  124
1.363  176
1.315  475
1.121  158

---

No. 8
Structure and calculated powder XRD pattern of Fe6W6C (a structure optimized by DFT (PBE); λ = 1.5418 Å (Cu Kα)).
Kinematic intensities with the Lorentz-polarization factor, no thermal factor.

Structural model:
Cell lengths 7.7204, 7.7204, 7.7204 Å; angles 60.00, 60.00, 60.00 degrees
Sites, in units of the cell vectors:
Fe: 0.0000 0.0000 0.0000
Fe: 0.0000 0.0000 0.5000
Fe: 0.0000 0.5000 0.0000
Fe: 0.1106 0.7965 0.7965
Fe: 0.2035 0.2035 0.2035
Fe: 0.2035 0.2035 0.8894
Fe: 0.2035 0.8894 0.2035
Fe: 0.5000 0.0000 0.0000
Fe: 0.7965 0.1106 0.7965
Fe: 0.7965 0.7965 0.1106
Fe: 0.7965 0.7965 0.7965
Fe: 0.8894 0.2035 0.2035
W: 0.1768 0.1768 0.5732
W: 0.1768 0.5732 0.1768
W: 0.1768 0.5732 0.5732
W: 0.4268 0.4268 0.8232
W: 0.4268 0.8232 0.4268
W: 0.4268 0.8232 0.8232
W: 0.5732 0.1768 0.1768
W: 0.5732 0.1768 0.5732
W: 0.5732 0.5732 0.1768
W: 0.8232 0.4268 0.4268
W: 0.8232 0.4268 0.8232
W: 0.8232 0.8232 0.4268
C: 0.3750 0.3750 0.3750
C: 0.6250 0.6250 0.6250

Principal peaks in the range 15 to 90 degrees two-theta, sorted by position:
d [Å]  I_rel
2.730  366
2.505  303
2.229  538
2.101  1000
1.930  361
1.529  162
1.421  125
1.334  164
1.287  461
1.097  161

---

No. 9
Structure and calculated powder XRD pattern of Y12Fe5C15 (a structure optimized by DFT (PBE); λ = 1.5418 Å (Cu Kα)).
Kinematic intensities with the Lorentz-polarization factor, no thermal factor.

Structural model:
Cell lengths 10.4573, 10.4573, 5.0670 Å; angles 90.00, 90.00, 120.00 degrees
Sites, in units of the cell vectors:
Y: 0.0000 0.4343 0.0000
Y: 0.0000 0.7919 0.0000
Y: 0.1842 0.7300 0.5000
Y: 0.2081 0.2081 0.0000
Y: 0.2700 0.4542 0.5000
Y: 0.4343 0.0000 0.0000
Y: 0.4542 0.2700 0.5000
Y: 0.5458 0.8158 0.5000
Y: 0.5657 0.5657 0.0000
Y: 0.7300 0.1842 0.5000
Y: 0.7919 0.0000 0.0000
Y: 0.8158 0.5458 0.5000
Fe: 0.0000 0.1556 0.5000
Fe: 0.1556 0.0000 0.5000
Fe: 0.3333 0.6667 0.0000
Fe: 0.6667 0.3333 0.0000
Fe: 0.8444 0.8444 0.5000
C: 0.0000 0.3242 0.5000
C: 0.0000 0.4526 0.5000
C: 0.0000 0.8034 0.5000
C: 0.1923 0.7164 0.0000
C: 0.1966 0.1966 0.5000
C: 0.2836 0.4759 0.0000
C: 0.3242 0.0000 0.5000
C: 0.4526 0.0000 0.5000
C: 0.4759 0.2836 0.0000
C: 0.5241 0.8077 0.0000
C: 0.5474 0.5474 0.5000
C: 0.6758 0.6758 0.5000
C: 0.7164 0.1923 0.0000
C: 0.8034 0.0000 0.5000
C: 0.8077 0.5241 0.0000

Principal peaks in the range 15 to 90 degrees two-theta, sorted by position:
d [Å]  I_rel
2.836  1000
2.614  112
2.593  128
2.534  399
2.512  358
2.323  79
2.264  76
1.784  242
1.549  82
1.515  148

---

No. 10
Structure and calculated powder XRD pattern of Y2FeC2 (a structure optimized by DFT (PBE); λ = 1.5418 Å (Cu Kα)).
Kinematic intensities with the Lorentz-polarization factor, no thermal factor.

Structural model:
Cell lengths 6.0125, 6.0125, 6.7064 Å; angles 118.37, 118.37, 49.56 degrees
Sites, in units of the cell vectors:
Y: 0.0416 0.0416 0.2831
Y: 0.3181 0.3181 0.8896
Y: 0.6819 0.6819 0.1104
Y: 0.9584 0.9584 0.7169
Fe: 0.3714 0.3714 0.3687
Fe: 0.6286 0.6286 0.6313
C: 0.1851 0.1851 0.1098
C: 0.4836 0.4836 0.6986
C: 0.5164 0.5164 0.3014
C: 0.8149 0.8149 0.8902

Principal peaks in the range 15 to 90 degrees two-theta, sorted by position:
d [Å]  I_rel
2.950  464
2.933  231
2.731  1000
2.641  720
2.583  378
2.520  700
2.010  220
1.804  242
1.571  186
1.478  211